For NaMoPO5, a cell relaxed with GGA+U gives the calculated powder diffractogram in this record (λ = 1.5418 Å (Cu Kα)).

a b c (Å): 5.5396 5.5396 7.3807
angles (deg): 104.91 104.91 103.83
Positions (direct):
Na 0.1673 0.8327 0.7500
Na 0.8327 0.1673 0.2500
Mo 0.5000 0.5000 0.0000
Mo 0.5000 0.5000 0.5000
P 0.1796 0.8204 0.2500
P 0.8204 0.1796 0.7500
O 0.1013 0.2465 0.8990
O 0.1815 0.6185 0.3641
O 0.2465 0.1013 0.3990
O 0.3815 0.8185 0.1359
O 0.4289 0.5711 0.7500
O 0.5711 0.4289 0.2500
O 0.6185 0.1815 0.8641
O 0.7535 0.8987 0.6010
O 0.8185 0.3815 0.6359
O 0.8987 0.7535 0.1010

Principal peaks in the range 2θ = 10–90°, low angle first:
Position (°2θ)	I_rel
17.5	94
20.4	22
26.4	100
28.7	59
33.7	49
34.1	54
41.9	22
49.9	23
52.2	20
54.4	25


For NaMoP2O7, a cell relaxed with GGA+U gives the calculated powder diffractogram in this record (λ = 1.5418 Å (Cu Kα)).

a b c (Å): 7.5592 8.3173 9.9363
angles (deg): 90.00 111.76 90.00
Positions (direct):
Na 0.2155 0.0196 0.2144
Na 0.2155 0.4804 0.7144
Na 0.7845 0.5196 0.2856
Na 0.7845 0.9804 0.7856
Mo 0.2435 0.0047 0.7503
Mo 0.2435 0.4953 0.2503
Mo 0.7565 0.5047 0.7497
Mo 0.7565 0.9953 0.2497
P 0.1717 0.7171 0.9538
P 0.1717 0.7829 0.4538
P 0.4268 0.2465 0.0419
P 0.4268 0.2535 0.5419
P 0.5732 0.7465 0.4581
P 0.5732 0.7535 0.9581
P 0.8283 0.2171 0.5462
P 0.8283 0.2829 0.0462
O 0.0405 0.5920 0.8541
O 0.0405 0.9080 0.3541
O 0.1271 0.6090 0.3977
O 0.1271 0.8910 0.8977
O 0.1915 0.7090 0.1125
O 0.1915 0.7910 0.6125
O 0.3172 0.2193 0.8799
O 0.3172 0.2807 0.3799
O 0.3274 0.1297 0.5997
O 0.3274 0.3703 0.0997
O 0.3724 0.6666 0.9391
O 0.3724 0.8334 0.4391
O 0.4737 0.0905 0.1318
O 0.4737 0.4095 0.6318
O 0.5263 0.5905 0.3682
O 0.5263 0.9095 0.8682
O 0.6276 0.1666 0.5609
O 0.6276 0.3334 0.0609
O 0.6726 0.6297 0.9003
O 0.6726 0.8703 0.4003
O 0.6828 0.7193 0.6201
O 0.6828 0.7807 0.1201
O 0.8085 0.2090 0.3875
O 0.8085 0.2910 0.8875
O 0.8729 0.1090 0.1023
O 0.8729 0.3910 0.6023
O 0.9595 0.0920 0.6459
O 0.9595 0.4080 0.1459

Principal peaks in the range 2θ = 10–90°, low angle first:
Position (°2θ)	I_rel
16.6	92
21.4	41
25.4	30
27.6	25
28.9	100
29.1	21
33.6	23
37.5	25
37.9	20
43.6	21


For NaMo3P3O13, a cell relaxed with GGA+U gives the calculated powder diffractogram in this record (λ = 1.5418 Å (Cu Kα)).

a b c (Å): 7.6095 6.6836 10.9244
angles (deg): 90.00 98.90 90.00
Positions (direct):
Na 0.1582 0.2500 0.1983
Na 0.8418 0.7500 0.8017
Mo 0.1468 0.2500 0.7927
Mo 0.2668 0.7500 0.4480
Mo 0.5000 0.0000 0.0000
Mo 0.5000 0.5000 0.0000
Mo 0.7332 0.2500 0.5520
Mo 0.8532 0.7500 0.2073
P 0.1848 0.7500 0.1202
P 0.2502 0.7500 0.7679
P 0.2824 0.2500 0.5118
P 0.7176 0.7500 0.4882
P 0.7498 0.2500 0.2321
P 0.8152 0.2500 0.8798
O 0.0110 0.2500 0.9476
O 0.1359 0.5663 0.7888
O 0.1359 0.9337 0.7888
O 0.1441 0.7500 0.2579
O 0.1455 0.2500 0.6069
O 0.2442 0.0655 0.4273
O 0.2442 0.4345 0.4273
O 0.2837 0.5567 0.0981
O 0.2837 0.9433 0.0981
O 0.3201 0.7500 0.6446
O 0.3714 0.2500 0.9006
O 0.4193 0.7500 0.8750
O 0.4712 0.2500 0.5883
O 0.5288 0.7500 0.4117
O 0.5807 0.2500 0.1250
O 0.6286 0.7500 0.0994
O 0.6799 0.2500 0.3554
O 0.7163 0.0567 0.9019
O 0.7163 0.4433 0.9019
O 0.7558 0.5655 0.5727
O 0.7558 0.9345 0.5727
O 0.8545 0.7500 0.3931
O 0.8559 0.2500 0.7421
O 0.8641 0.0663 0.2112
O 0.8641 0.4337 0.2112
O 0.9890 0.7500 0.0524

Principal peaks in the range 2θ = 10–90°, low angle first:
Position (°2θ)	I_rel
13.3	25
15.6	42
18.7	100
26.3	37
26.7	35
29.1	46
30.9	33
31.7	31
36.0	25
36.7	27


For NaMo2P4O14, a cell relaxed with GGA+U gives the calculated powder diffractogram in this record (λ = 1.5418 Å (Cu Kα)).

a b c (Å): 5.0102 7.0238 8.5882
angles (deg): 91.85 92.92 106.01
Positions (direct):
Na 0.0000 0.0000 0.0000
Mo 0.3184 0.5156 0.9686
Mo 0.8120 0.0126 0.4707
P 0.1969 0.7659 0.2784
P 0.4255 0.2547 0.6640
P 0.8089 0.3755 0.2086
P 0.8239 0.6466 0.7295
O 0.0107 0.9076 0.2965
O 0.0281 0.5473 0.3206
O 0.0600 0.5622 0.7793
O 0.1771 0.2091 0.5428
O 0.2662 0.7667 0.1065
O 0.3452 0.2545 0.8336
O 0.4480 0.8137 0.3966
O 0.5789 0.4632 0.1545
O 0.5960 0.4747 0.6240
O 0.6125 0.1157 0.6415
O 0.6757 0.7078 0.8677
O 0.7051 0.2044 0.3143
O 0.9207 0.8167 0.6218
O 0.9735 0.3188 0.0765

Principal peaks in the range 2θ = 10–90°, low angle first:
Position (°2θ)	I_rel
16.3	100
17.1	58
21.8	65
22.3	26
25.6	30
28.2	69
29.0	42
29.7	40
34.6	22
37.4	24


For NaMo2P2O9, a cell relaxed with GGA+U gives the calculated powder diffractogram in this record (λ = 1.5418 Å (Cu Kα)).

a b c (Å): 14.5315 6.6918 8.0764
angles (deg): 90.00 90.00 90.00
Positions (direct):
Na 0.2220 0.2500 0.1664
Na 0.2780 0.7500 0.6664
Na 0.7220 0.2500 0.3336
Na 0.7780 0.7500 0.8336
Mo 0.0000 0.0000 0.0000
Mo 0.0000 0.5000 0.0000
Mo 0.1157 0.2500 0.6491
Mo 0.3843 0.7500 0.1491
Mo 0.5000 0.0000 0.5000
Mo 0.5000 0.5000 0.5000
Mo 0.6157 0.2500 0.8509
Mo 0.8843 0.7500 0.3509
P 0.0603 0.7500 0.6547
P 0.1963 0.7500 0.0956
P 0.3037 0.2500 0.5956
P 0.4397 0.2500 0.1547
P 0.5603 0.7500 0.8453
P 0.6963 0.7500 0.4044
P 0.8037 0.2500 0.9044
P 0.9397 0.2500 0.3453
O 0.0081 0.7500 0.8272
O 0.0142 0.2500 0.4794
O 0.0472 0.2500 0.8558
O 0.1230 0.5663 0.6465
O 0.1230 0.9337 0.6465
O 0.1374 0.5581 0.0842
O 0.1374 0.9419 0.0842
O 0.2242 0.2500 0.4640
O 0.2458 0.2500 0.7598
O 0.2542 0.7500 0.2598
O 0.2758 0.7500 0.9640
O 0.3626 0.0581 0.5842
O 0.3626 0.4419 0.5842
O 0.3770 0.0663 0.1465
O 0.3770 0.4337 0.1465
O 0.4528 0.7500 0.3558
O 0.4858 0.7500 0.9794
O 0.4919 0.2500 0.3272
O 0.5081 0.7500 0.6728
O 0.5142 0.2500 0.0206
O 0.5472 0.2500 0.6442
O 0.6230 0.5663 0.8535
O 0.6230 0.9337 0.8535
O 0.6374 0.5581 0.4158
O 0.6374 0.9419 0.4158
O 0.7242 0.2500 0.0360
O 0.7458 0.2500 0.7402
O 0.7542 0.7500 0.2402
O 0.7758 0.7500 0.5360
O 0.8626 0.0581 0.9158
O 0.8626 0.4419 0.9158
O 0.8770 0.0663 0.3535
O 0.8770 0.4337 0.3535
O 0.9528 0.7500 0.1442
O 0.9858 0.7500 0.5206
O 0.9919 0.2500 0.1728

Principal peaks in the range 2θ = 10–90°, low angle first:
Position (°2θ)	I_rel
12.2	80
12.5	43
16.4	87
18.3	56
21.4	38
22.9	98
29.5	100
32.7	50
33.9	38
53.9	42


For Na2TmMoPO8, a cell relaxed with GGA+U gives the calculated powder diffractogram in this record (λ = 1.5418 Å (Cu Kα)).

a b c (Å): 11.4552 11.4552 11.4552
angles (deg): 145.11 116.25 74.78
Positions (direct):
Na 0.0982 0.6589 0.4490
Na 0.2099 0.1589 0.0607
Na 0.2901 0.3508 0.9490
Na 0.4018 0.8508 0.5607
Na 0.5982 0.1492 0.4393
Na 0.7099 0.6492 0.0510
Na 0.7901 0.8411 0.9393
Na 0.9018 0.3411 0.5510
Tm 0.1785 0.7500 0.9285
Tm 0.3215 0.2500 0.5715
Tm 0.6785 0.7500 0.4285
Tm 0.8215 0.2500 0.0715
Mo 0.0739 0.8239 0.2500
Mo 0.4261 0.6761 0.7500
Mo 0.5739 0.3239 0.2500
Mo 0.9261 0.1761 0.7500
P 0.0684 0.2500 0.3184
P 0.4316 0.7500 0.1816
P 0.5684 0.2500 0.8184
P 0.9316 0.7500 0.6816
O 0.0596 0.3272 0.2510
O 0.0762 0.8272 0.7676
O 0.1010 0.1895 0.8305
O 0.1066 0.6673 0.0127
O 0.1411 0.7296 0.3305
O 0.1421 0.4195 0.5753
O 0.1546 0.0939 0.4873
O 0.1557 0.0805 0.2226
O 0.3443 0.5669 0.9247
O 0.3454 0.8327 0.9393
O 0.3579 0.9331 0.2774
O 0.3589 0.6895 0.5885
O 0.3934 0.4061 0.5607
O 0.3990 0.2296 0.0885
O 0.4238 0.1913 0.7510
O 0.4404 0.6913 0.2676
O 0.5596 0.3087 0.7324
O 0.5762 0.8087 0.2490
O 0.6010 0.7704 0.9115
O 0.6066 0.5939 0.4393
O 0.6411 0.3105 0.4115
O 0.6421 0.0669 0.7226
O 0.6546 0.1673 0.0607
O 0.6557 0.4331 0.0753
O 0.8443 0.9195 0.7774
O 0.8454 0.9061 0.5127
O 0.8579 0.5805 0.4247
O 0.8589 0.2704 0.6695
O 0.8934 0.3327 0.9873
O 0.8990 0.8105 0.1695
O 0.9238 0.1728 0.2324
O 0.9404 0.6728 0.7490

Principal peaks in the range 2θ = 10–90°, low angle first:
Position (°2θ)	I_rel
14.6	56
17.8	36
19.5	32
20.2	45
27.5	32
27.8	100
29.4	44
32.7	73
35.6	46
48.0	32


For Na2PaMoO8, a cell relaxed with GGA+U gives the calculated powder diffractogram in this record (λ = 1.5418 Å (Cu Kα)).

a b c (Å): 5.6966 5.6966 5.9610
angles (deg): 90.00 90.00 120.00
Positions (direct):
Na 0.3333 0.6667 0.4559
Na 0.6667 0.3333 0.5441
Pa 0.0000 0.0000 0.0000
Mo 0.0000 0.0000 0.5000
O 0.1493 0.2987 0.7118
O 0.1493 0.8507 0.7118
O 0.2987 0.1493 0.2882
O 0.3333 0.6667 0.0613
O 0.6667 0.3333 0.9387
O 0.7013 0.8507 0.7118
O 0.8507 0.1493 0.2882
O 0.8507 0.7013 0.2882

Principal peaks in the range 2θ = 10–90°, low angle first:
Position (°2θ)	I_rel
18.0	100
23.4	17
31.4	37
35.2	27
36.4	10
44.0	36
47.9	18
48.8	12
58.4	17
64.7	11


For NaMoPdO4, a cell relaxed with GGA+U gives the calculated powder diffractogram in this record (λ = 1.5418 Å (Cu Kα)).

a b c (Å): 6.9183 6.9183 6.9183
angles (deg): 129.72 127.98 75.26
Positions (direct):
Na 0.4156 0.1656 0.2500
Na 0.5844 0.8344 0.7500
Mo 0.0000 0.5000 0.5000
Mo 0.5000 0.5000 0.0000
Pd 0.0000 0.0000 0.5000
Pd 0.0000 0.5000 0.0000
O 0.1500 0.6869 0.4631
O 0.2704 0.3032 0.5328
O 0.2704 0.7376 0.9672
O 0.2761 0.3131 0.9631
O 0.7239 0.6869 0.0369
O 0.7296 0.2624 0.0328
O 0.7296 0.6968 0.4672
O 0.8500 0.3131 0.5369

Principal peaks in the range 2θ = 10–90°, low angle first:
Position (°2θ)	I_rel
16.7	74
17.1	100
28.5	39
32.7	43
33.8	43
34.3	40
34.6	29
34.9	41
42.8	46
54.9	44


For NaPm2MoO5, a cell relaxed with GGA+U gives the calculated powder diffractogram in this record (λ = 1.5418 Å (Cu Kα)).

a b c (Å): 6.8604 6.8604 5.7938
angles (deg): 90.00 90.00 90.00
Positions (direct):
Na 0.0000 0.0000 0.0000
Na 0.5000 0.5000 0.0000
Pm 0.1779 0.3221 0.5000
Pm 0.3221 0.8221 0.5000
Pm 0.6779 0.1779 0.5000
Pm 0.8221 0.6779 0.5000
Mo 0.0000 0.5000 0.0000
Mo 0.5000 0.0000 0.0000
O 0.0000 0.0000 0.5000
O 0.1377 0.6377 0.2491
O 0.1377 0.6377 0.7509
O 0.3623 0.1377 0.2491
O 0.3623 0.1377 0.7509
O 0.5000 0.5000 0.5000
O 0.6377 0.8623 0.2491
O 0.6377 0.8623 0.7509
O 0.8623 0.3623 0.2491
O 0.8623 0.3623 0.7509

Principal peaks in the range 2θ = 10–90°, low angle first:
Position (°2θ)	I_rel
15.3	55
18.3	43
29.1	32
30.3	100
30.9	38
33.0	83
42.9	61
44.6	38
57.6	26
64.6	33


What is the formula in the third record? NaMo3P3O13


Number 4 is which compound? NaMo2P4O14